Diffraction record for MnPH6NO5. The powder diffraction line list is calculated, not measured: it uses DFT lattice parameters and positions (PBE+U) and Cu Kα (λ = 1.5418 Å).
Neutral-atom scattering factors, no anomalous dispersion.

Main lines, by intensity (2θ from 10° to 90°):
| index | 2theta | I/Imax |
| --- | --- | --- |
| 1 2 1 | 31.1 | 100 |
| 2 0 0 | 30.9 | 37 |
| 0 1 1 | 20.6 | 32 |
| 1 1 1 | 25.8 | 23 |
| 1 1 0 | 18.2 | 22 |
| 1 3 1 | 38.4 | 21 |
| 3 2 1 | 55.1 | 14 |
| 2 2 1 | 41.4 | 13 |
| 1 5 0 | 53.1 | 12 |
| 2 1 1 | 37.5 | 11 |
| 2 1 2 | 49.9 | 11 |
| 2 0 2 | 48.8 | 11 |

Crystal structure
```
MnPH6NO5
1.0
5.779 0.000 0.000
0.000 9.028 0.000
0.000 0.000 4.895
Mn P H N O
2 2 12 2 10
direct
0.000 0.025 0.000
0.500 0.975 0.500
0.000 0.801 0.569
0.500 0.199 0.069
0.000 0.543 0.292
0.000 0.546 0.936
0.135 0.194 0.552
0.148 0.414 0.110
0.352 0.586 0.610
0.365 0.806 0.052
0.500 0.454 0.436
0.500 0.457 0.792
0.635 0.806 0.052
0.648 0.586 0.610
0.852 0.414 0.110
0.865 0.194 0.552
0.000 0.479 0.112
0.500 0.521 0.612
0.000 0.206 0.673
0.000 0.631 0.613
0.000 0.836 0.263
0.216 0.873 0.715
0.284 0.127 0.215
0.500 0.164 0.763
0.500 0.369 0.113
0.500 0.794 0.173
0.716 0.127 0.215
0.784 0.873 0.715
```